Entry 1:
Starting from the PBE geometry in the Materials Project, the powder diffraction line list of SbSe6IF6 was simulated for Cu Kα (weighted mean of Kα1 and Kα2).
Intensities are scaled so that the largest is 100.

Structural model:
```
data_SbSe6IF6
_chemical_formula_sum 'Sb2 Se12 I2 F12'
_cell_length_a 9.496
_cell_length_b 7.259
_cell_length_c 12.019
_cell_angle_alpha 90.00
_cell_angle_beta 119.75
_cell_angle_gamma 90.00
_symmetry_space_group_name_H-M 'P 1'
_symmetry_Int_Tables_number 1
_symmetry_space_group_name_Hall 'P 1'
loop_
_atom_site_label
_atom_site_type_symbol
_atom_site_fract_x
_atom_site_fract_y
_atom_site_fract_z
Sb1 Sb 0.000 0.000 0.000
Sb2 Sb 0.000 0.000 0.500
Se1 Se 0.242 0.432 0.384
Se2 Se 0.242 0.568 0.884
Se3 Se 0.339 0.257 0.888
Se4 Se 0.339 0.743 0.388
Se5 Se 0.443 0.245 0.390
Se6 Se 0.443 0.755 0.890
Se7 Se 0.557 0.245 0.110
Se8 Se 0.557 0.755 0.610
Se9 Se 0.661 0.257 0.612
Se10 Se 0.661 0.743 0.112
Se11 Se 0.758 0.432 0.116
Se12 Se 0.758 0.568 0.616
I1 I 0.500 0.277 0.750
I2 I 0.500 0.723 0.250
F1 F 0.056 0.221 0.602
F2 F 0.056 0.779 0.102
F3 F 0.083 0.105 0.397
F4 F 0.083 0.895 0.897
F5 F 0.211 0.103 0.114
F6 F 0.211 0.897 0.614
F7 F 0.789 0.103 0.386
F8 F 0.789 0.897 0.886
F9 F 0.917 0.105 0.103
F10 F 0.917 0.895 0.603
F11 F 0.944 0.221 0.898
F12 F 0.944 0.779 0.398
```

Main lines, by angle (2θ from 10° to 90°):
hkl, two_theta, I (rel.)
1 0 0, 10.73, 38
1 1 0, 16.27, 45
1 1 -2, 19.32, 75
1 0 2, 24.30, 81
2 1 0, 24.84, 31
1 2 0, 26.85, 100
2 0 -4, 30.11, 30
3 1 -3, 32.30, 46
2 2 2, 42.12, 55
2 2 -6, 52.33, 27

---

Entry 2:
Starting from the PBE geometry in the Materials Project, the powder diffraction line list of RbSb3S5O was simulated for Cu Kα (weighted mean of Kα1 and Kα2).
Intensities are scaled so that the largest is 100.

Structural model:
```
data_RbSb3S5O
_chemical_formula_sum 'Rb2 Sb6 S10 O2'
_cell_length_a 5.972
_cell_length_b 9.119
_cell_length_c 10.999
_cell_angle_alpha 76.64
_cell_angle_beta 86.37
_cell_angle_gamma 83.25
_symmetry_space_group_name_H-M 'P 1'
_symmetry_Int_Tables_number 1
_symmetry_space_group_name_Hall 'P 1'
loop_
_atom_site_label
_atom_site_type_symbol
_atom_site_fract_x
_atom_site_fract_y
_atom_site_fract_z
Rb1 Rb 0.213 0.133 0.341
Rb2 Rb 0.787 0.867 0.659
Sb1 Sb 0.283 0.082 0.868
Sb2 Sb 0.284 0.658 0.036
Sb3 Sb 0.296 0.480 0.625
Sb4 Sb 0.704 0.520 0.375
Sb5 Sb 0.716 0.342 0.964
Sb6 Sb 0.717 0.918 0.132
S1 S 0.295 0.520 0.385
S2 S 0.296 0.824 0.819
S3 S 0.307 0.913 0.124
S4 S 0.315 0.415 0.922
S5 S 0.324 0.193 0.617
S6 S 0.676 0.807 0.383
S7 S 0.685 0.585 0.078
S8 S 0.693 0.087 0.876
S9 S 0.704 0.176 0.181
S10 S 0.705 0.480 0.615
O1 O 0.447 0.844 0.448
O2 O 0.553 0.156 0.552
```

Main lines, by angle (2θ from 10° to 90°):
hkl, two_theta, I (rel.)
0 1 1, 11.47, 50
1 0 0, 14.95, 46
-1 1 1, 19.96, 43
0 1 -2, 21.30, 63
1 1 2, 21.83, 97
-1 1 2, 24.07, 54
0 1 -3, 29.06, 70
0 3 1, 29.63, 68
2 0 0, 30.16, 100
0 2 4, 35.11, 49

---

Entry 3:
Starting from the PBE geometry in the Materials Project, the powder diffraction line list of Nb4SiTe4 was simulated for Cu Kα (weighted mean of Kα1 and Kα2).
Intensities are scaled so that the largest is 100.

Structural model:
```
data_Nb4SiTe4
_chemical_formula_sum 'Nb16 Si4 Te16'
_cell_length_a 10.982
_cell_length_b 19.119
_cell_length_c 4.875
_cell_angle_alpha 90.00
_cell_angle_beta 90.00
_cell_angle_gamma 90.00
_symmetry_space_group_name_H-M 'P 1'
_symmetry_Int_Tables_number 1
_symmetry_space_group_name_Hall 'P 1'
loop_
_atom_site_label
_atom_site_type_symbol
_atom_site_fract_x
_atom_site_fract_y
_atom_site_fract_z
Nb1 Nb 0.064 0.116 0.000
Nb2 Nb 0.099 0.892 0.500
Nb3 Nb 0.188 0.057 0.500
Nb4 Nb 0.203 0.964 0.000
Nb5 Nb 0.297 0.464 0.000
Nb6 Nb 0.312 0.557 0.500
Nb7 Nb 0.401 0.392 0.500
Nb8 Nb 0.436 0.616 0.000
Nb9 Nb 0.564 0.384 0.000
Nb10 Nb 0.599 0.608 0.500
Nb11 Nb 0.688 0.443 0.500
Nb12 Nb 0.703 0.536 0.000
Nb13 Nb 0.797 0.036 0.000
Nb14 Nb 0.812 0.943 0.500
Nb15 Nb 0.901 0.108 0.500
Nb16 Nb 0.936 0.884 0.000
Si1 Si 0.000 0.000 0.250
Si2 Si 0.000 0.000 0.750
Si3 Si 0.500 0.500 0.250
Si4 Si 0.500 0.500 0.750
Te1 Te 0.108 0.198 0.500
Te2 Te 0.154 0.438 0.500
Te3 Te 0.168 0.816 0.000
Te4 Te 0.179 0.597 0.000
Te5 Te 0.321 0.097 0.000
Te6 Te 0.332 0.316 0.000
Te7 Te 0.346 0.938 0.500
Te8 Te 0.392 0.698 0.500
Te9 Te 0.608 0.302 0.500
Te10 Te 0.654 0.062 0.500
Te11 Te 0.668 0.684 0.000
Te12 Te 0.679 0.903 0.000
Te13 Te 0.821 0.403 0.000
Te14 Te 0.832 0.184 0.000
Te15 Te 0.846 0.562 0.500
Te16 Te 0.892 0.802 0.500
```

Main lines, by angle (2θ from 10° to 90°):
hkl, two_theta, I (rel.)
2 0 0, 16.10, 98
2 1 1, 24.86, 93
1 4 1, 27.36, 63
2 5 1, 33.98, 40
1 6 1, 34.61, 86
0 0 2, 36.87, 100
4 1 1, 37.90, 48
4 3 1, 40.27, 91
2 0 2, 40.47, 40
2 7 1, 41.30, 60

---

Entry 4:
Starting from the PBE geometry in the Materials Project, the powder diffraction line list of Li2Mg was simulated for Cu Kα (weighted mean of Kα1 and Kα2).
Intensities are scaled so that the largest is 100.

Structural model:
```
data_Li2Mg
_chemical_formula_sum 'Li4 Mg2'
_cell_length_a 5.315
_cell_length_b 5.315
_cell_length_c 5.023
_cell_angle_alpha 90.00
_cell_angle_beta 90.00
_cell_angle_gamma 120.00
_symmetry_space_group_name_H-M 'P 1'
_symmetry_Int_Tables_number 1
_symmetry_space_group_name_Hall 'P 1'
loop_
_atom_site_label
_atom_site_type_symbol
_atom_site_fract_x
_atom_site_fract_y
_atom_site_fract_z
Li1 Li 0.000 0.000 0.000
Li2 Li 0.000 0.667 0.500
Li3 Li 0.333 0.333 0.500
Li4 Li 0.667 0.000 0.500
Mg1 Mg 0.333 0.667 0.000
Mg2 Mg 0.667 0.333 0.000
```

Main lines, by angle (2θ from 10° to 90°):
hkl, two_theta, I (rel.)
0 0 1, 17.66, 49
1 0 0, 19.28, 30
1 0 1, 26.26, 28
1 1 0, 33.73, 43
0 0 2, 35.75, 24
1 1 1, 38.32, 100
1 1 2, 49.96, 27
3 0 0, 60.33, 15
1 1 3, 65.94, 19
3 0 2, 72.14, 17